Calculated powder XRD pattern
Compound: Eu8Mn3Nb5O28
Radiation: Cu Kα
Structure: a PBE+U-relaxed structure
Lines closer than 0.1° are merged.

Atomic structure:
abc: 13.2804 7.7477 11.9816
angles: 90.00 101.10 90.00
Space group C2 (No. 5)
Inequivalent atoms, fractional coordinates:
1 Eu 0.1149 0.0000 0.2160 (multiplicity 4)
2 Eu 0.1183 0.2532 0.7285 (multiplicity 4)
3 Eu 0.1241 0.4967 0.2512 (multiplicity 4)
4 Eu 0.1267 0.7426 0.7549 (multiplicity 4)
5 Mn 0.0000 0.2729 0.0000 (multiplicity 2)
6 Mn 0.0000 0.5620 0.5000 (multiplicity 2)
7 Mn 0.0000 0.6712 0.0000 (multiplicity 2)
8 Nb 0.0000 0.9881 0.5000 (multiplicity 2)
9 Nb 0.2411 0.0003 0.9932 (multiplicity 4)
10 Nb 0.2493 0.2551 0.4949 (multiplicity 4)
11 O 0.0110 0.9874 0.6681 (multiplicity 4)
12 O 0.0133 0.2623 0.1640 (multiplicity 4)
13 O 0.0219 0.7345 0.1549 (multiplicity 4)
14 O 0.0238 0.5039 0.6584 (multiplicity 4)
15 O 0.1023 0.4626 0.0287 (multiplicity 4)
16 O 0.1038 0.7786 0.5312 (multiplicity 4)
17 O 0.1086 0.0908 0.0124 (multiplicity 4)
18 O 0.1131 0.1561 0.5179 (multiplicity 4)
19 O 0.1996 0.4871 0.4747 (multiplicity 4)
20 O 0.1995 0.7590 0.9790 (multiplicity 4)
21 O 0.2094 0.7755 0.3385 (multiplicity 4)
22 O 0.2122 0.4766 0.8394 (multiplicity 4)
23 O 0.2136 0.2222 0.3223 (multiplicity 4)
24 O 0.2153 0.0197 0.8207 (multiplicity 4)

Principal peaks in the range 2θ from 15° to 90°, by angle:
15.1°, rel. 9, hkl 0 0 2
28.6°, rel. 100, hkl 4 0 -2
30.4°, rel. 26, hkl 0 0 4
33.6°, rel. 26, hkl 2 2 -3
33.9°, rel. 13, hkl 4 0 2
46.9°, rel. 11, hkl 0 4 0
47.3°, rel. 22, hkl 6 2 -1
49.6°, rel. 15, hkl 2 2 5
55.9°, rel. 10, hkl 4 4 -2
59.1°, rel. 11, hkl 2 2 -7